Entry 1:
# Ca2VCl6
Simulated powder diffractogram, Cu Ka. Input: the GGA-PBE geometry in Alexandria.
Intensities are scaled so that the largest is 100.

Top 8 peaks for 2θ from 10° to 90°, low angle first:
two_theta	d/Å	I (rel.)
15.50	5.716	100.0
28.83	3.096	16.2
29.67	3.011	98.3
38.94	2.313	20.7
39.61	2.275	48.9
45.14	2.009	36.9
47.19	1.926	21.4
52.68	1.737	15.7

Crystal structure
```
data_Ca2VCl6
_chemical_formula_sum 'Ca6 V3 Cl18'
_symmetry_space_group_name_H-M 'R -3'
_symmetry_Int_Tables_number 148
_symmetry_space_group_name_Hall '-R 3'
_cell_length_a 6.9579
_cell_length_b 6.9579
_cell_length_c 18.0465
_cell_angle_alpha 90.00
_cell_angle_beta 90.00
_cell_angle_gamma 120.00
loop_
_atom_site_label
_atom_site_type_symbol
_atom_site_fract_x
_atom_site_fract_y
_atom_site_fract_z
Ca1 Ca 0.0000 0.0000 0.1918
V1 V 0.0000 0.0000 0.0000
Cl1 Cl 0.0055 0.2898 0.0827
```

***

Entry 2:
# Ba2NaReN4
Simulated powder diffractogram, Cu Ka. Input: the GGA-PBE geometry in Alexandria.
Intensities are scaled so that the largest is 100.

Top 8 peaks for 2θ from 10° to 90°, low angle first:
two_theta	d/Å	I (rel.)
17.67	5.018	27.0
18.31	4.845	23.1
27.60	3.231	27.3
29.26	3.052	30.2
30.16	2.964	100.0
40.66	2.219	24.0
50.43	1.810	19.4
52.45	1.745	21.3

Crystal structure
```
data_Ba2NaReN4
_chemical_formula_sum 'Ba4 Na2 Re2 N8'
_symmetry_space_group_name_H-M 'P m m n'
_symmetry_Int_Tables_number 59
_cell_length_a 6.1046
_cell_length_b 7.9628
_cell_length_c 6.4630
_cell_angle_alpha 90.00
_cell_angle_beta 90.00
_cell_angle_gamma 90.00
loop_
_symmetry_equiv_pos_as_xyz
'x,y,z'
'-x,-y,-z'
'-x+1/2,-y+1/2,z'
'x+1/2,y+1/2,-z'
'x+1/2,-y,-z'
'-x+1/2,y,z'
'-x,y+1/2,-z'
'x,-y+1/2,z'
loop_
_atom_site_label
_atom_site_type_symbol
_atom_site_fract_x
_atom_site_fract_y
_atom_site_fract_z
Ba1 Ba 0.2500 0.0029 0.2278
Na1 Na 0.2500 0.2500 0.7629
Re1 Re 0.2500 0.7500 0.7907
N1 N 0.0100 0.7500 0.9643
N2 N 0.2500 0.5548 0.6392
```

***

Entry 3:
# Dy6AlTl5
Simulated powder diffractogram, Cu Ka. Input: the GGA-PBE geometry in Alexandria.
Intensities are scaled so that the largest is 100.

Top 8 peaks for 2θ from 10° to 90°, low angle first:
two_theta	d/Å	I (rel.)
33.49	2.676	51.1
33.77	2.654	100.0
48.01	1.895	9.4
48.16	1.889	9.3
48.92	1.862	8.9
60.00	1.542	19.7
60.10	1.540	19.2
60.59	1.528	18.9

Crystal structure
```
data_Dy6AlTl5
_chemical_formula_sum 'Dy6 Al1 Tl5'
_symmetry_space_group_name_H-M 'P 1 2/m 1'
_symmetry_Int_Tables_number 10
_cell_length_a 5.3516
_cell_length_b 7.4471
_cell_length_c 8.4552
_cell_angle_alpha 90.00
_cell_angle_beta 108.28
_cell_angle_gamma 90.00
loop_
_symmetry_equiv_pos_as_xyz
'x,y,z'
'-x,-y,-z'
'-x,y,-z'
'x,-y,z'
loop_
_atom_site_label
_atom_site_type_symbol
_atom_site_fract_x
_atom_site_fract_y
_atom_site_fract_z
Dy1 Dy 0.0000 0.2435 0.0000
Dy2 Dy 0.3369 0.2468 0.6738
Al1 Al 0.5000 0.0000 0.0000
Tl1 Tl 0.1680 0.5000 0.3363
Tl2 Tl 0.1685 0.0000 0.3368
Tl3 Tl 0.5000 0.5000 0.0000
```

***

Entry 4:
# Pm6Pr3Sc2
Simulated powder diffractogram, Cu Ka. Input: the GGA-PBE geometry in Alexandria.
Intensities are scaled so that the largest is 100.

Top 8 peaks for 2θ from 10° to 90°, low angle first:
two_theta	d/Å	I (rel.)
25.66	3.471	20.0
28.16	3.169	25.8
30.68	2.914	66.2
30.87	2.896	39.0
31.92	2.804	100.0
55.35	1.660	20.6
61.81	1.501	22.1
78.94	1.213	15.7

Crystal structure
```
data_Pm6Pr3Sc2
_chemical_formula_sum 'Pm12 Pr6 Sc4'
_symmetry_space_group_name_H-M 'C m m m'
_symmetry_Int_Tables_number 65
_symmetry_space_group_name_Hall '-C 2 2'
_cell_length_a 5.8247
_cell_length_b 12.1613
_cell_length_c 10.4142
_cell_angle_alpha 90.00
_cell_angle_beta 90.00
_cell_angle_gamma 90.00
loop_
_atom_site_label
_atom_site_type_symbol
_atom_site_fract_x
_atom_site_fract_y
_atom_site_fract_z
Pm1 Pm 0.0000 0.0000 0.2150
Pm2 Pm 0.0000 0.3494 0.3181
Pr1 Pr 0.0000 0.2044 0.0000
Pr2 Pr 0.0000 0.5000 0.0000
Sc1 Sc 0.0000 0.1272 0.5000
```

***

Entry 5:
# Tb2Nd3Tm7
Simulated powder diffractogram, Cu Ka. Input: the GGA-PBE geometry in Alexandria.
Intensities are scaled so that the largest is 100.

Top 8 peaks for 2θ from 10° to 90°, low angle first:
two_theta	d/Å	I (rel.)
29.89	2.990	49.4
30.93	2.891	80.3
30.97	2.888	91.0
31.49	2.841	100.0
34.02	2.635	60.5
34.95	2.567	69.8
53.05	1.726	39.3
61.82	1.501	48.2

Crystal structure
```
data_Tb2Nd3Tm7
_chemical_formula_sum 'Tb2 Nd3 Tm7'
_symmetry_space_group_name_H-M 'P 1 2/m 1'
_symmetry_Int_Tables_number 10
_cell_length_a 6.3054
_cell_length_b 3.5123
_cell_length_c 17.4312
_cell_angle_alpha 90.00
_cell_angle_beta 96.33
_cell_angle_gamma 90.00
loop_
_symmetry_equiv_pos_as_xyz
'x,y,z'
'-x,-y,-z'
'-x,y,-z'
'x,-y,z'
loop_
_atom_site_label
_atom_site_type_symbol
_atom_site_fract_x
_atom_site_fract_y
_atom_site_fract_z
Tb1 Tb 0.0567 0.0000 0.1747
Nd1 Nd 0.4526 0.5000 0.8416
Nd2 Nd 0.5000 0.0000 0.5000
Tm1 Tm 0.0000 0.5000 0.5000
Tm2 Tm 0.2235 0.0000 0.6652
Tm3 Tm 0.2529 0.0000 0.0000
Tm4 Tm 0.2710 0.5000 0.3353
```

***

Entry 6:
# BaSrIr3
Simulated powder diffractogram, Cu Ka. Input: the GGA-PBE geometry in Alexandria.
Intensities are scaled so that the largest is 100.

Top 8 peaks for 2θ from 10° to 90°, low angle first:
two_theta	d/Å	I (rel.)
17.10	5.186	16.2
29.84	2.994	100.0
34.59	2.593	84.9
49.72	1.834	61.3
59.07	1.564	44.6
61.98	1.497	21.2
80.77	1.190	18.5
83.33	1.160	28.3

Crystal structure
```
data_BaSrIr3
_chemical_formula_sum 'Ba1 Sr1 Ir3'
_symmetry_space_group_name_H-M 'P m -3 m'
_symmetry_Int_Tables_number 221
_symmetry_space_group_name_Hall '-P 4 2 3'
_cell_length_a 5.1864
_cell_length_b 5.1864
_cell_length_c 5.1864
_cell_angle_alpha 90.00
_cell_angle_beta 90.00
_cell_angle_gamma 90.00
loop_
_atom_site_label
_atom_site_type_symbol
_atom_site_fract_x
_atom_site_fract_y
_atom_site_fract_z
Ba1 Ba 0.0000 0.0000 0.0000
Sr1 Sr 0.5000 0.5000 0.5000
Ir1 Ir 0.0000 0.5000 0.5000
```

***

Entry 7:
# SrZn9Ir2
Simulated powder diffractogram, Cu Ka. Input: the GGA-PBE geometry in Alexandria.
Intensities are scaled so that the largest is 100.

Top 8 peaks for 2θ from 10° to 90°, low angle first:
two_theta	d/Å	I (rel.)
15.07	5.880	68.8
32.82	2.729	57.4
36.88	2.437	51.5
37.70	2.386	45.5
39.28	2.294	42.2
42.92	2.107	43.5
44.35	2.043	100.0
45.93	1.976	92.4

Crystal structure
```
data_SrZn9Ir2
_chemical_formula_sum 'Sr4 Zn36 Ir8'
_symmetry_space_group_name_H-M 'I 41/a m d'
_symmetry_Int_Tables_number 141
_cell_length_a 10.6719
_cell_length_b 10.6719
_cell_length_c 7.0454
_cell_angle_alpha 90.00
_cell_angle_beta 90.00
_cell_angle_gamma 90.00
loop_
_symmetry_equiv_pos_as_xyz
'x,y,z'
'-x,-y,-z'
'-y+1/4,x+3/4,z+1/4'
'y+1/4,-x+3/4,-z+1/4'
'-x+1/2,-y,z+1/2'
'x+1/2,y,-z+1/2'
'y+1/4,-x+1/4,z+3/4'
'-y+1/4,x+1/4,-z+3/4'
'x,-y,-z'
'-x,y,z'
'-y+1/4,-x+1/4,-z+3/4'
'y+1/4,x+1/4,z+3/4'
'-x+1/2,y,-z+1/2'
'x+1/2,-y,z+1/2'
'y+1/4,x+3/4,-z+1/4'
'-y+1/4,-x+3/4,z+1/4'
'x+1/2,y+1/2,z+1/2'
'-x+1/2,-y+1/2,-z+1/2'
'-y+3/4,x+1/4,z+3/4'
'y+3/4,-x+1/4,-z+3/4'
'-x,-y+1/2,z'
'x,y+1/2,-z'
'y+3/4,-x+3/4,z+1/4'
'-y+3/4,x+3/4,-z+1/4'
'x+1/2,-y+1/2,-z+1/2'
'-x+1/2,y+1/2,z+1/2'
'-y+3/4,-x+3/4,-z+1/4'
'y+3/4,x+3/4,z+1/4'
'-x,y+1/2,-z'
'x,-y+1/2,z'
'y+3/4,x+1/4,-z+3/4'
'-y+3/4,-x+1/4,z+3/4'
loop_
_atom_site_label
_atom_site_type_symbol
_atom_site_fract_x
_atom_site_fract_y
_atom_site_fract_z
Sr1 Sr 0.0000 0.2500 0.3750
Zn1 Zn 0.0000 0.2500 0.8750
Zn2 Zn 0.1226 0.0419 0.6867
Ir1 Ir 0.0000 0.0000 0.0000
```

***

Entry 8:
# PuGa4
Simulated powder diffractogram, Cu Ka. Input: the GGA-PBE geometry in Alexandria.
Intensities are scaled so that the largest is 100.

Top 8 peaks for 2θ from 10° to 90°, low angle first:
two_theta	d/Å	I (rel.)
23.90	3.723	24.4
27.95	3.192	53.5
35.79	2.509	100.0
38.35	2.347	86.3
38.71	2.326	51.1
41.11	2.196	38.0
57.74	1.597	32.0
71.46	1.320	31.2

Crystal structure
```
data_PuGa4
_chemical_formula_sum 'Pu4 Ga16'
_symmetry_space_group_name_H-M 'I m m a'
_symmetry_Int_Tables_number 74
_symmetry_space_group_name_Hall '-I 2b 2'
_cell_length_a 4.3916
_cell_length_b 6.2668
_cell_length_c 13.8860
_cell_angle_alpha 90.00
_cell_angle_beta 90.00
_cell_angle_gamma 90.00
loop_
_atom_site_label
_atom_site_type_symbol
_atom_site_fract_x
_atom_site_fract_y
_atom_site_fract_z
Pu1 Pu 0.0000 0.2500 0.1117
Ga1 Ga 0.0000 0.0000 0.5000
Ga2 Ga 0.0000 0.0284 0.6984
Ga3 Ga 0.0000 0.2500 0.8932
```

***

Entry 9:
# LiHo2O3
Simulated powder diffractogram, Cu Ka. Input: the GGA-PBE geometry in Alexandria.
Intensities are scaled so that the largest is 100.

Top 8 peaks for 2θ from 10° to 90°, low angle first:
two_theta	d/Å	I (rel.)
11.22	7.888	65.8
22.54	3.944	32.4
30.86	2.898	26.7
32.93	2.720	100.0
34.10	2.629	20.0
38.55	2.335	90.0
54.88	1.673	29.7
56.44	1.630	36.1

Crystal structure
```
data_LiHo2O3
_chemical_formula_sum 'Li1 Ho2 O3'
_symmetry_space_group_name_H-M 'P -3 m 1'
_symmetry_Int_Tables_number 164
_symmetry_space_group_name_Hall '-P 3 2"'
_cell_length_a 3.3459
_cell_length_b 3.3459
_cell_length_c 7.8877
_cell_angle_alpha 90.00
_cell_angle_beta 90.00
_cell_angle_gamma 120.00
loop_
_atom_site_label
_atom_site_type_symbol
_atom_site_fract_x
_atom_site_fract_y
_atom_site_fract_z
Li1 Li 0.0000 0.0000 0.0000
Ho1 Ho 0.3333 0.6667 0.6802
O1 O 0.0000 0.0000 0.5000
O2 O 0.3333 0.6667 0.1673
```

***

Entry 10:
# Zr2Fe3Tc
Simulated powder diffractogram, Cu Ka. Input: the GGA-PBE geometry in Alexandria.
Intensities are scaled so that the largest is 100.

Top 8 peaks for 2θ from 10° to 90°, low angle first:
two_theta	d/Å	I (rel.)
35.83	2.506	48.8
38.23	2.354	65.2
41.97	2.153	100.0
43.04	2.101	64.9
65.98	1.416	22.4
68.60	1.368	22.0
70.90	1.329	20.5
75.94	1.253	20.2

Crystal structure
```
data_Zr2Fe3Tc
_chemical_formula_sum 'Zr4 Fe6 Tc2'
_symmetry_space_group_name_H-M 'P 63/m m c'
_symmetry_Int_Tables_number 194
_symmetry_space_group_name_Hall '-P 6c 2c'
_cell_length_a 5.0119
_cell_length_b 5.0119
_cell_length_c 8.4080
_cell_angle_alpha 90.00
_cell_angle_beta 90.00
_cell_angle_gamma 120.00
loop_
_atom_site_label
_atom_site_type_symbol
_atom_site_fract_x
_atom_site_fract_y
_atom_site_fract_z
Zr1 Zr 0.3333 0.6667 0.0635
Fe1 Fe 0.1705 0.3410 0.7500
Tc1 Tc 0.0000 0.0000 0.0000
```

***

Entry 11:
# Nd3HfTl4S8
Simulated powder diffractogram, Cu Ka. Input: the GGA-PBE geometry in Alexandria.
Intensities are scaled so that the largest is 100.

Top 8 peaks for 2θ from 10° to 90°, low angle first:
two_theta	d/Å	I (rel.)
23.28	3.821	31.9
26.58	3.353	64.5
29.87	2.991	100.0
40.66	2.219	39.7
44.77	2.024	33.1
47.38	1.919	17.6
51.06	1.789	25.4
54.75	1.677	17.6

Crystal structure
```
data_Nd3HfTl4S8
_chemical_formula_sum 'Nd9 Hf3 Tl12 S24'
_symmetry_space_group_name_H-M 'R -3 m'
_symmetry_Int_Tables_number 166
_symmetry_space_group_name_Hall '-R 3 2"'
_cell_length_a 8.0977
_cell_length_b 8.0977
_cell_length_c 22.9261
_cell_angle_alpha 90.00
_cell_angle_beta 90.00
_cell_angle_gamma 120.00
loop_
_atom_site_label
_atom_site_type_symbol
_atom_site_fract_x
_atom_site_fract_y
_atom_site_fract_z
Nd1 Nd 0.0000 0.5000 0.0000
Hf1 Hf 0.0000 0.0000 0.0000
Tl1 Tl 0.0000 0.0000 0.5000
Tl2 Tl 0.0000 0.5000 0.5000
S1 S 0.0000 0.0000 0.2637
S2 S 0.0297 0.5149 0.7315
```

***

Entry 12:
# Rb3In2Cl8
Simulated powder diffractogram, Cu Ka. Input: the GGA-PBE geometry in Alexandria.
Intensities are scaled so that the largest is 100.

Top 8 peaks for 2θ from 10° to 90°, low angle first:
two_theta	d/Å	I (rel.)
20.87	4.257	66.8
23.19	3.835	100.0
31.39	2.850	55.4
35.07	2.559	38.9
39.39	2.287	35.6
40.75	2.214	21.6
47.41	1.918	32.3
48.94	1.861	23.0

Crystal structure
```
data_Rb3In2Cl8
_chemical_formula_sum 'Rb9 In6 Cl24'
_symmetry_space_group_name_H-M 'R -3 m'
_symmetry_Int_Tables_number 166
_symmetry_space_group_name_Hall '-R 3 2"'
_cell_length_a 7.6708
_cell_length_b 7.6708
_cell_length_c 27.7303
_cell_angle_alpha 90.00
_cell_angle_beta 90.00
_cell_angle_gamma 120.00
loop_
_atom_site_label
_atom_site_type_symbol
_atom_site_fract_x
_atom_site_fract_y
_atom_site_fract_z
Rb1 Rb 0.0000 0.0000 0.0000
Rb2 Rb 0.0000 0.0000 0.2030
In1 In 0.0000 0.0000 0.4084
Cl1 Cl 0.0000 0.0000 0.3191
Cl2 Cl 0.0244 0.5122 0.7692
```

***

- Number 2 is which compound?
  Ba2NaReN4